Entry 1:
Diffraction record for HoMoBrO4. The PXRD pattern is calculated, not measured: it uses a DFT-relaxed cell (PBE+U, the Materials Project) and a wavelength of 1.5418 Å.
Neutral-atom scattering factors, no anomalous dispersion.

Principal peaks in the range 2θ = 10–90°, sorted by position:
2θ (°)  d (Å)  I_rel  (hkl)
13.55  6.533  40  1 0 0
17.67  5.019  23  0 0 2
24.61  3.618  100  0 2 -1
25.67  3.470  48  1 0 2
29.73  3.005  23  2 1 -2
31.28  2.859  29  -1 1 3
33.07  2.708  26  1 1 -4
35.48  2.530  25  1 2 1

Structural model:
Cell lengths 6.9238, 7.2600, 10.9957 Å; angles 105.02, 107.43, 93.38 degrees
Fractional coordinates of all 28 atoms:
1 Ho 0.1110 0.3448 0.2316
2 Ho 0.1474 0.1190 0.7308
3 Ho 0.8526 0.8810 0.2692
4 Ho 0.8890 0.6552 0.7684
5 Mo 0.2325 0.8132 0.1338
6 Mo 0.2747 0.5928 0.6287
7 Mo 0.7253 0.4072 0.3713
8 Mo 0.7675 0.1868 0.8662
9 Br 0.2398 0.0079 0.4824
10 Br 0.3071 0.2836 0.0188
11 Br 0.6929 0.7164 0.9812
12 Br 0.7602 0.9921 0.5176
13 O 0.1032 0.0189 0.1819
14 O 0.1266 0.6450 0.2020
15 O 0.1554 0.7949 0.7023
16 O 0.1663 0.7277 0.9579
17 O 0.1733 0.5059 0.4509
18 O 0.2159 0.4123 0.7013
19 O 0.4558 0.3506 0.3263
20 O 0.4968 0.1307 0.7931
21 O 0.5032 0.8693 0.2069
22 O 0.5442 0.6494 0.6737
23 O 0.7841 0.5877 0.2987
24 O 0.8267 0.4941 0.5491
25 O 0.8337 0.2723 0.0421
26 O 0.8446 0.2051 0.2977
27 O 0.8734 0.3550 0.7980
28 O 0.8968 0.9811 0.8181

---

Entry 2:
Diffraction record for K3Mo2BrO7. The PXRD pattern is calculated, not measured: it uses a DFT-relaxed cell (PBE+U, the Materials Project) and a wavelength of 1.5418 Å.
Neutral-atom scattering factors, no anomalous dispersion.

Principal peaks in the range 2θ = 10–90°, sorted by position:
2θ (°)  d (Å)  I_rel  (hkl)
16.63  5.331  43  1 0 0
27.96  3.191  100  1 0 4
29.01  3.078  88  1 1 0
40.73  2.215  24  2 0 4
50.78  1.798  32  2 1 4
51.42  1.777  16  3 0 0
54.91  1.672  16  1 1 8
60.13  1.539  16  2 2 0

Structural model:
Cell lengths 6.1556, 6.1556, 15.9339 Å; angles 90.00, 90.00, 120.00 degrees
Fractional coordinates of all 26 atoms:
1 K 0.3333 0.6667 0.0415
2 K 0.3333 0.6667 0.4585
3 K 0.3333 0.6667 0.7500
4 K 0.6667 0.3333 0.2500
5 K 0.6667 0.3333 0.5415
6 K 0.6667 0.3333 0.9585
7 Mo 0.0000 0.0000 0.1304
8 Mo 0.0000 0.0000 0.3696
9 Mo 0.0000 0.0000 0.6304
10 Mo 0.0000 0.0000 0.8696
11 Br 0.3333 0.6667 0.2500
12 Br 0.6667 0.3333 0.7500
13 O 0.0000 0.0000 0.2500
14 O 0.0000 0.0000 0.7500
15 O 0.1555 0.3110 0.5918
16 O 0.1555 0.3110 0.9082
17 O 0.1555 0.8445 0.5918
18 O 0.1555 0.8445 0.9082
19 O 0.3110 0.1555 0.0918
20 O 0.3110 0.1555 0.4082
21 O 0.6890 0.8445 0.5918
22 O 0.6890 0.8445 0.9082
23 O 0.8445 0.1555 0.0918
24 O 0.8445 0.1555 0.4082
25 O 0.8445 0.6890 0.0918
26 O 0.8445 0.6890 0.4082

---

Entry 3:
Diffraction record for MgMo2Br4O4. The PXRD pattern is calculated, not measured: it uses a DFT-relaxed cell (PBE+U, the Materials Project) and a wavelength of 1.5418 Å.
Neutral-atom scattering factors, no anomalous dispersion.

Principal peaks in the range 2θ = 10–90°, sorted by position:
2θ (°)  d (Å)  I_rel  (hkl)
10.57  8.370  12  0 0 1
23.58  3.773  100  1 0 0
32.08  2.790  25  0 0 3
32.71  2.738  28  1 -2 0
44.54  2.034  12  0 2 -3
46.60  1.949  12  1 2 4
46.93  1.936  19  2 0 1
53.13  1.724  11  2 2 1

Structural model:
Cell lengths 3.8739, 7.7399, 8.7909 Å; angles 77.35, 77.66, 89.90 degrees
Fractional coordinates of all 11 atoms:
1 Mg 0.0000 0.0000 0.0000
2 Mo 0.7285 0.6347 0.4897
3 Mo 0.7510 0.1416 0.4595
4 Br 0.5868 0.5653 0.7870
5 Br 0.5939 0.0649 0.7992
6 Br 0.8802 0.6963 0.1543
7 Br 0.9042 0.2429 0.1486
8 O 0.2356 0.6369 0.4835
9 O 0.2467 0.1399 0.4681
10 O 0.7439 0.3958 0.4723
11 O 0.7471 0.8839 0.4649

---

Entry 4:
Diffraction record for MgMo2Br4O4. The PXRD pattern is calculated, not measured: it uses a DFT-relaxed cell (PBE+U, the Materials Project) and a wavelength of 1.5418 Å.
Neutral-atom scattering factors, no anomalous dispersion.

Principal peaks in the range 2θ = 10–90°, sorted by position:
2θ (°)  d (Å)  I_rel  (hkl)
10.64  8.314  64  0 0 1
23.06  3.857  52  0 2 1
23.22  3.830  52  0 2 0
23.65  3.762  100  1 0 0
32.35  2.768  88  0 0 3
32.43  2.760  39  1 -2 0
35.60  2.522  29  1 0 3
44.81  2.023  49  1 0 -3

Structural model:
Cell lengths 3.8623, 7.9024, 8.7907 Å; angles 76.12, 77.33, 89.94 degrees
Fractional coordinates of all 11 atoms:
1 Mg 0.0000 0.0000 0.0000
2 Mo 0.5832 0.7798 0.8323
3 Mo 0.5915 0.2959 0.8181
4 Br 0.4183 0.7172 0.1526
5 Br 0.4334 0.1863 0.1482
6 Br 0.7277 0.8591 0.5342
7 Br 0.7404 0.3503 0.5236
8 O 0.0736 0.7878 0.8506
9 O 0.0834 0.2644 0.8343
10 O 0.5685 0.0318 0.8624
11 O 0.5857 0.5222 0.8275

---

Entry 5:
Diffraction record for MgWBr4O. The PXRD pattern is calculated, not measured: it uses a DFT-relaxed cell (PBE+U, the Materials Project) and a wavelength of 1.5418 Å.
Neutral-atom scattering factors, no anomalous dispersion.

Principal peaks in the range 2θ = 10–90°, sorted by position:
2θ (°)  d (Å)  I_rel  (hkl)
12.24  7.233  100  0 0 1
24.15  3.685  79  1 -1 0
24.75  3.598  57  1 0 0
30.43  2.937  29  0 2 1
32.25  2.776  35  0 2 -2
37.19  2.417  50  -1 2 2
39.03  2.308  24  0 2 2
40.77  2.213  39  1 -2 2

Structural model:
Cell lengths 3.9065, 7.3533, 7.6069 Å; angles 95.91, 104.73, 105.38 degrees
Fractional coordinates of all 7 atoms:
1 Mg 0.0000 0.0000 0.0000
2 W 0.7256 0.4506 0.9985
3 Br 0.0068 0.7685 0.2456
4 Br 0.4403 0.1122 0.7638
5 Br 0.7151 0.6732 0.7511
6 Br 0.7216 0.2076 0.2389
7 O 0.2203 0.4407 0.9983

---

Please write out number 3 again, unchanged.
Diffraction record for MgMo2Br4O4. The PXRD pattern is calculated, not measured: it uses a DFT-relaxed cell (PBE+U, the Materials Project) and a wavelength of 1.5418 Å.
Neutral-atom scattering factors, no anomalous dispersion.

Principal peaks in the range 2θ = 10–90°, sorted by position:
2θ (°)  d (Å)  I_rel  (hkl)
10.57  8.370  12  0 0 1
23.58  3.773  100  1 0 0
32.08  2.790  25  0 0 3
32.71  2.738  28  1 -2 0
44.54  2.034  12  0 2 -3
46.60  1.949  12  1 2 4
46.93  1.936  19  2 0 1
53.13  1.724  11  2 2 1

Structural model:
Cell lengths 3.8739, 7.7399, 8.7909 Å; angles 77.35, 77.66, 89.90 degrees
Fractional coordinates of all 11 atoms:
1 Mg 0.0000 0.0000 0.0000
2 Mo 0.7285 0.6347 0.4897
3 Mo 0.7510 0.1416 0.4595
4 Br 0.5868 0.5653 0.7870
5 Br 0.5939 0.0649 0.7992
6 Br 0.8802 0.6963 0.1543
7 Br 0.9042 0.2429 0.1486
8 O 0.2356 0.6369 0.4835
9 O 0.2467 0.1399 0.4681
10 O 0.7439 0.3958 0.4723
11 O 0.7471 0.8839 0.4649